(1)
The following is a calculated powder X-ray diffraction pattern of SrAc2Ru. It was derived from a DFT-relaxed cell (PBE, Alexandria), using copper Kα.
No peak broadening, texture or thermal motion is included.

Main lines, in order of rising 2θ (10 to 90 degrees two-theta):
d [Å], two_theta, I (rel.)
3.707, 24.01, 19
3.378, 26.39, 22
3.352, 26.60, 55
3.182, 28.04, 100
2.663, 33.65, 46
2.156, 41.90, 47
2.109, 42.88, 16
1.982, 45.78, 33
1.817, 50.20, 24
1.785, 51.18, 19
1.375, 68.21, 16
1.330, 70.88, 17

Atomic structure:
Lattice parameters (Å, degrees): 10.434 10.434 10.434 23.85 23.85 23.85
Element x y z (fractional)
Sr: 0.000 0.000 0.000
Ac: 0.219 0.219 0.219
Ac: 0.450 0.450 0.450
Ru: 0.835 0.835 0.835

(2)
The following is a calculated powder X-ray diffraction pattern of SrAc8Ru4. It was derived from a DFT-relaxed cell (PBE, Alexandria), using copper Kα.
No peak broadening, texture or thermal motion is included.

Main lines, in order of rising 2θ (10 to 90 degrees two-theta):
d [Å], two_theta, I (rel.)
7.130, 12.41, 23
3.484, 25.57, 49
3.347, 26.63, 100
3.274, 27.24, 40
3.208, 27.81, 95
3.087, 28.92, 40
2.849, 31.40, 23
2.387, 37.69, 32
2.174, 41.54, 34
2.091, 43.26, 58
2.016, 44.97, 26
1.926, 47.20, 22

Atomic structure:
Lattice parameters (Å, degrees): 10.729 10.729 14.264 130.46 130.46 23.38
Element x y z (fractional)
Sr: 0.000 0.000 0.000
Ac: 0.039 0.039 0.734
Ac: 0.289 0.289 0.928
Ac: 0.334 0.334 0.654
Ac: 0.363 0.363 0.405
Ac: 0.636 0.636 0.594
Ac: 0.665 0.665 0.346
Ac: 0.710 0.710 0.071
Ac: 0.960 0.960 0.265
Ru: 0.140 0.140 0.462
Ru: 0.341 0.341 0.186
Ru: 0.658 0.658 0.813
Ru: 0.859 0.859 0.538

(3)
The following is a calculated powder X-ray diffraction pattern of Ac12TbRu7. It was derived from a DFT-relaxed cell (PBE, Alexandria), using copper Kα.
No peak broadening, texture or thermal motion is included.

Main lines, in order of rising 2θ (10 to 90 degrees two-theta):
d [Å], two_theta, I (rel.)
3.434, 25.94, 17
3.418, 26.07, 52
2.964, 30.16, 100
2.099, 43.09, 39
2.092, 43.25, 36
1.791, 50.99, 8
1.786, 51.15, 27
1.709, 53.63, 19
1.482, 62.70, 12
1.327, 71.02, 16
1.323, 71.25, 16
1.209, 79.22, 11

Atomic structure:
Lattice parameters (Å, degrees): 9.362 9.362 9.362 107.35 107.35 107.35
Element x y z (fractional)
Ac: 0.051 0.126 0.346
Ac: 0.126 0.346 0.051
Ac: 0.182 0.574 0.720
Ac: 0.280 0.818 0.426
Ac: 0.346 0.051 0.126
Ac: 0.426 0.280 0.818
Ac: 0.574 0.720 0.182
Ac: 0.654 0.949 0.874
Ac: 0.720 0.182 0.574
Ac: 0.818 0.426 0.280
Ac: 0.874 0.654 0.949
Ac: 0.949 0.874 0.654
Tb: 0.500 0.500 0.500
Ru: 0.000 0.000 0.000
Ru: 0.153 0.485 0.378
Ru: 0.378 0.153 0.485
Ru: 0.485 0.378 0.153
Ru: 0.515 0.622 0.847
Ru: 0.622 0.847 0.515
Ru: 0.847 0.515 0.622

(4)
The following is a calculated powder X-ray diffraction pattern of Ac5Te4Ru. It was derived from a DFT-relaxed cell (PBE, Alexandria), using copper Kα.
No peak broadening, texture or thermal motion is included.

Main lines, in order of rising 2θ (10 to 90 degrees two-theta):
d [Å], two_theta, I (rel.)
3.838, 23.18, 23
3.353, 26.59, 58
3.309, 26.94, 100
2.664, 33.65, 15
2.355, 38.21, 80
2.340, 38.47, 33
1.919, 47.38, 37
1.676, 54.76, 10
1.495, 62.07, 20
1.484, 62.61, 12
1.363, 68.90, 17
1.354, 69.42, 13

Atomic structure:
Lattice parameters (Å, degrees): 8.124 8.124 8.124 99.81 99.81 131.25
Element x y z (fractional)
Ac: 0.000 0.000 0.000
Ac: 0.238 0.593 0.831
Ac: 0.407 0.238 0.645
Ac: 0.593 0.762 0.355
Ac: 0.762 0.407 0.169
Te: 0.088 0.309 0.397
Te: 0.309 0.912 0.222
Te: 0.691 0.088 0.778
Te: 0.912 0.691 0.603
Ru: 0.500 0.500 0.000

(5)
The following is a calculated powder X-ray diffraction pattern of Ac3Te2Ru. It was derived from a DFT-relaxed cell (PBE, Alexandria), using copper Kα.
No peak broadening, texture or thermal motion is included.

Main lines, in order of rising 2θ (10 to 90 degrees two-theta):
d [Å], two_theta, I (rel.)
3.842, 23.15, 11
3.743, 23.77, 12
3.300, 27.02, 55
3.276, 27.23, 100
2.550, 35.20, 10
2.362, 38.09, 19
2.325, 38.74, 74
2.272, 39.66, 17
1.921, 47.32, 18
1.871, 48.66, 21
1.473, 63.10, 15
1.467, 63.41, 13

Atomic structure:
Lattice parameters (Å, degrees): 15.147 14.430 8.116 79.01 69.25 31.74
Element x y z (fractional)
Ac: 0.038 0.529 0.180
Ac: 0.085 0.665 0.665
Ac: 0.180 0.752 0.038
Ac: 0.248 0.820 0.471
Ac: 0.335 0.915 0.915
Ac: 0.471 0.962 0.248
Ac: 0.529 0.038 0.752
Ac: 0.665 0.085 0.085
Ac: 0.752 0.180 0.529
Ac: 0.820 0.248 0.962
Ac: 0.915 0.335 0.335
Ac: 0.962 0.471 0.820
Te: 0.130 0.130 0.620
Te: 0.297 0.297 0.453
Te: 0.380 0.380 0.870
Te: 0.453 0.453 0.297
Te: 0.547 0.547 0.703
Te: 0.620 0.620 0.130
Te: 0.703 0.703 0.547
Te: 0.870 0.870 0.380
Ru: 0.041 0.041 0.209
Ru: 0.209 0.209 0.041
Ru: 0.791 0.791 0.959
Ru: 0.959 0.959 0.791

(6)
The following is a calculated powder X-ray diffraction pattern of Ac2Th3Ru2. It was derived from a DFT-relaxed cell (PBE, Alexandria), using copper Kα.
No peak broadening, texture or thermal motion is included.

Main lines, in order of rising 2θ (10 to 90 degrees two-theta):
d [Å], two_theta, I (rel.)
3.275, 27.23, 34
3.108, 28.73, 45
3.076, 29.03, 45
3.003, 29.76, 42
2.963, 30.16, 54
2.882, 31.03, 25
2.849, 31.40, 39
2.663, 33.65, 100
1.965, 46.20, 28
1.813, 50.32, 31
1.776, 51.44, 23
1.620, 56.85, 28

Atomic structure:
Lattice parameters (Å, degrees): 6.524 6.524 9.308 110.97 110.97 35.05
Element x y z (fractional)
Ac: 0.164 0.164 0.294
Ac: 0.836 0.836 0.706
Th: 0.379 0.379 0.074
Th: 0.500 0.500 0.500
Th: 0.621 0.621 0.926
Ru: 0.125 0.125 0.719
Ru: 0.875 0.875 0.281

(7)
The following is a calculated powder X-ray diffraction pattern of Ac14Tl6Ru3. It was derived from a DFT-relaxed cell (PBE, Alexandria), using copper Kα.
No peak broadening, texture or thermal motion is included.

Main lines, in order of rising 2θ (10 to 90 degrees two-theta):
d [Å], two_theta, I (rel.)
3.572, 24.93, 43
3.381, 26.36, 100
3.049, 29.30, 73
3.035, 29.43, 78
2.879, 31.07, 64
2.271, 39.70, 21
2.112, 42.81, 17
2.092, 43.25, 21
2.023, 44.79, 27
1.963, 46.24, 24
1.930, 47.09, 23
1.919, 47.37, 27

Atomic structure:
Lattice parameters (Å, degrees): 11.514 11.514 7.651 90.00 90.00 120.00
Element x y z (fractional)
Ac: 0.000 0.000 0.000
Ac: 0.088 0.544 0.293
Ac: 0.205 0.409 0.736
Ac: 0.205 0.795 0.736
Ac: 0.243 0.122 0.467
Ac: 0.424 0.212 0.988
Ac: 0.456 0.544 0.293
Ac: 0.456 0.912 0.293
Ac: 0.591 0.795 0.736
Ac: 0.667 0.333 0.522
Ac: 0.788 0.212 0.988
Ac: 0.788 0.576 0.988
Ac: 0.878 0.122 0.467
Ac: 0.878 0.757 0.467
Tl: 0.150 0.300 0.183
Tl: 0.150 0.850 0.183
Tl: 0.520 0.040 0.717
Tl: 0.520 0.480 0.717
Tl: 0.700 0.850 0.183
Tl: 0.960 0.480 0.717
Ru: 0.000 0.000 0.648
Ru: 0.333 0.667 0.527
Ru: 0.667 0.333 0.171

(8)
The following is a calculated powder X-ray diffraction pattern of Ac4ZnRu2. It was derived from a DFT-relaxed cell (PBE, Alexandria), using copper Kα.
No peak broadening, texture or thermal motion is included.

Main lines, in order of rising 2θ (10 to 90 degrees two-theta):
d [Å], two_theta, I (rel.)
3.595, 24.76, 90
2.973, 30.06, 68
2.959, 30.21, 100
2.931, 30.49, 77
2.892, 30.92, 38
2.817, 31.76, 33
2.435, 36.91, 45
2.390, 37.64, 50
2.257, 39.94, 44
2.056, 44.05, 34
1.797, 50.80, 40
1.520, 60.96, 23

Atomic structure:
Lattice parameters (Å, degrees): 7.786 7.786 8.226 106.51 106.51 70.86
Element x y z (fractional)
Ac: 0.000 0.000 0.000
Ac: 0.003 0.003 0.489
Ac: 0.011 0.457 0.869
Ac: 0.448 0.983 0.356
Ac: 0.457 0.011 0.869
Ac: 0.478 0.478 0.465
Ac: 0.496 0.496 0.001
Ac: 0.983 0.448 0.356
Zn: 0.779 0.779 0.640
Zn: 0.794 0.794 0.142
Ru: 0.180 0.699 0.209
Ru: 0.267 0.267 0.135
Ru: 0.278 0.278 0.636
Ru: 0.699 0.180 0.209

(9)
The following is a calculated powder X-ray diffraction pattern of Ac2Zn3Ru2. It was derived from a DFT-relaxed cell (PBE, Alexandria), using copper Kα.
No peak broadening, texture or thermal motion is included.

Main lines, in order of rising 2θ (10 to 90 degrees two-theta):
d [Å], two_theta, I (rel.)
6.795, 13.03, 26
3.558, 25.02, 37
3.432, 25.96, 43
3.397, 26.23, 29
2.844, 31.45, 100
2.707, 33.09, 42
2.558, 35.08, 81
2.279, 39.54, 47
2.185, 41.32, 43
2.054, 44.08, 27
1.701, 53.92, 26
1.506, 61.58, 27

Atomic structure:
Lattice parameters (Å, degrees): 6.064 6.064 6.838 96.05 96.05 42.24
Element x y z (fractional)
Ac: 0.162 0.162 0.196
Ac: 0.838 0.838 0.804
Zn: 0.109 0.109 0.698
Zn: 0.500 0.500 0.500
Zn: 0.891 0.891 0.302
Ru: 0.440 0.440 0.132
Ru: 0.560 0.560 0.868

(10)
The following is a calculated powder X-ray diffraction pattern of Ac5ZnRu2. It was derived from a DFT-relaxed cell (PBE, Alexandria), using copper Kα.
No peak broadening, texture or thermal motion is included.

Main lines, in order of rising 2θ (10 to 90 degrees two-theta):
d [Å], two_theta, I (rel.)
7.298, 12.13, 17
3.611, 24.66, 33
3.102, 28.78, 24
2.958, 30.21, 100
2.745, 32.62, 34
2.635, 34.03, 58
2.298, 39.20, 28
1.865, 48.83, 25
1.809, 50.44, 12
1.729, 52.95, 22
1.500, 61.86, 20
1.474, 63.07, 21

Atomic structure:
Lattice parameters (Å, degrees): 9.379 9.379 9.379 127.26 127.26 77.82
Element x y z (fractional)
Ac: 0.000 0.000 0.000
Ac: 0.029 0.529 0.822
Ac: 0.207 0.029 0.500
Ac: 0.293 0.793 0.822
Ac: 0.471 0.293 0.500
Ac: 0.500 0.500 0.000
Ac: 0.529 0.707 0.500
Ac: 0.707 0.207 0.178
Ac: 0.793 0.971 0.500
Ac: 0.971 0.471 0.178
Zn: 0.250 0.250 0.000
Zn: 0.750 0.750 0.000
Ru: 0.141 0.359 0.500
Ru: 0.359 0.859 0.219
Ru: 0.641 0.141 0.781
Ru: 0.859 0.641 0.500

(11)
The following is a calculated powder X-ray diffraction pattern of Ac5S7. It was derived from a DFT-relaxed cell (PBE, Alexandria), using copper Kα.
No peak broadening, texture or thermal motion is included.

Main lines, in order of rising 2θ (10 to 90 degrees two-theta):
d [Å], two_theta, I (rel.)
4.013, 22.15, 100
3.935, 22.60, 70
3.724, 23.90, 35
3.568, 24.95, 42
3.464, 25.72, 20
3.141, 28.42, 28
2.980, 29.98, 41
2.876, 31.10, 30
2.391, 37.62, 20
2.314, 38.93, 23
2.102, 43.03, 23
1.862, 48.92, 20

Atomic structure:
Lattice parameters (Å, degrees): 7.441 7.441 12.408 104.88 104.88 32.82
Element x y z (fractional)
Ac: 0.000 0.000 0.000
Ac: 0.111 0.111 0.420
Ac: 0.301 0.301 0.189
Ac: 0.699 0.699 0.811
Ac: 0.889 0.889 0.580
S: 0.047 0.047 0.785
S: 0.261 0.261 0.648
S: 0.341 0.341 0.951
S: 0.500 0.500 0.500
S: 0.659 0.659 0.049
S: 0.739 0.739 0.352
S: 0.953 0.953 0.215

(12)
The following is a calculated powder X-ray diffraction pattern of Ac4SbS3. It was derived from a DFT-relaxed cell (PBE, Alexandria), using copper Kα.
No peak broadening, texture or thermal motion is included.

Main lines, in order of rising 2θ (10 to 90 degrees two-theta):
d [Å], two_theta, I (rel.)
3.761, 23.66, 14
3.375, 26.40, 100
2.665, 33.63, 39
2.181, 41.40, 32
2.089, 43.32, 22
1.887, 48.24, 15
1.832, 49.78, 18
1.688, 54.36, 10
1.424, 65.55, 12
1.403, 66.68, 16
1.335, 70.56, 9
1.241, 76.84, 9

Atomic structure:
Lattice parameters (Å, degrees): 4.362 4.362 15.042 90.00 90.00 120.00
Element x y z (fractional)
Ac: 0.333 0.667 0.359
Ac: 0.333 0.667 0.880
Ac: 0.667 0.333 0.120
Ac: 0.667 0.333 0.641
Sb: 0.000 0.000 0.500
S: 0.000 0.000 0.000
S: 0.000 0.000 0.237
S: 0.000 0.000 0.763